(1)
Simulated X-ray powder pattern of PuCd8Ag4 for Cu Ka, from DFT lattice parameters and positions (PBE).
Neutral-atom scattering factors, no anomalous dispersion.

Main lines, by angle (15° ≤ 2θ ≤ 90°):
Position (°2θ), I_rel, h k l
31.2, 51, 3 0 1
31.8, 16, 0 0 2
36.0, 59, 4 0 0
36.1, 100, 3 2 1
36.6, 66, 2 0 2
40.4, 20, 4 2 0
41.0, 41, 2 2 2
59.5, 23, 3 2 3
64.7, 24, 6 3 1
65.1, 28, 6 0 2

Structural model:
```
data_PuCd8Ag4
_cell_length_a 9.9913
_cell_length_b 9.9913
_cell_length_c 5.6286
_cell_angle_alpha 90.00
_cell_angle_beta 90.00
_cell_angle_gamma 90.00
_space_group_name_H-M_alt 'I 4/m m m'
_space_group_IT_number 139
_space_group_name_Hall '-I 4 2'
loop_
_atom_site_label
_atom_site_fract_x
_atom_site_fract_y
_atom_site_fract_z
Pu1 0.0000 0.0000 0.0000
Cd1 0.0000 0.2123 0.5000
Cd2 0.0000 0.3456 0.0000
Ag1 0.2500 0.2500 0.2500
```

=====

(2)
Simulated X-ray powder pattern of BaRuF5 for Cu Ka, from DFT lattice parameters and positions (PBE).
Neutral-atom scattering factors, no anomalous dispersion.

Main lines, by angle (15° ≤ 2θ ≤ 90°):
Position (°2θ), I_rel, h k l
19.6, 100, 2 0 0
24.8, 43, 0 2 0
25.1, 98, 1 1 -2
31.5, 26, 1 1 2
31.8, 21, 2 2 0
32.6, 24, 3 1 -2
39.8, 24, 4 0 0
43.8, 20, 1 3 -2
44.4, 19, 2 0 -4
46.8, 16, 3 1 2

Structural model:
```
data_BaRuF5
_cell_length_a 9.7856
_cell_length_b 7.1924
_cell_length_c 8.1724
_cell_angle_alpha 90.00
_cell_angle_beta 112.34
_cell_angle_gamma 90.00
_space_group_name_H-M_alt 'C 1 2/c 1'
_space_group_IT_number 15
loop_
_space_group_symop_operation_xyz
'x,y,z'
'-x,-y,-z'
'-x,y,-z+1/2'
'x,-y,z+1/2'
'x+1/2,y+1/2,z'
'-x+1/2,-y+1/2,-z'
'-x+1/2,y+1/2,-z+1/2'
'x+1/2,-y+1/2,z+1/2'
loop_
_atom_site_label
_atom_site_fract_x
_atom_site_fract_y
_atom_site_fract_z
Ba1 0.0000 0.0495 0.2500
Ru1 0.0000 0.5000 0.0000
F1 0.0000 0.4316 0.2500
F2 0.0196 0.2221 0.9722
F3 0.2172 0.4701 0.6041
```

=====

(3)
Simulated X-ray powder pattern of Th2NiAu for Cu Ka, from DFT lattice parameters and positions (PBE).
Neutral-atom scattering factors, no anomalous dispersion.

Main lines, by angle (15° ≤ 2θ ≤ 90°):
Position (°2θ), I_rel, h k l
27.8, 14, 1 0 1
34.8, 100, 1 0 2
35.8, 49, 1 1 0
48.6, 8, 0 0 4
51.5, 18, 2 0 0
61.8, 16, 1 1 4
63.7, 36, 2 1 2
73.6, 10, 2 0 4
86.3, 8, 3 0 2
86.9, 10, 3 1 0

Structural model:
```
data_Th2NiAu
_cell_length_a 3.5461
_cell_length_b 3.5461
_cell_length_c 7.4885
_cell_angle_alpha 90.00
_cell_angle_beta 90.00
_cell_angle_gamma 90.00
_space_group_name_H-M_alt 'P 4/m m m'
_space_group_IT_number 123
_space_group_name_Hall '-P 4 2'
loop_
_atom_site_label
_atom_site_fract_x
_atom_site_fract_y
_atom_site_fract_z
Th1 0.0000 0.0000 0.2270
Ni1 0.5000 0.5000 0.0000
Au1 0.5000 0.5000 0.5000
```

=====

(4)
Simulated X-ray powder pattern of Sr2Hg3Pt for Cu Ka, from DFT lattice parameters and positions (PBE).
Neutral-atom scattering factors, no anomalous dispersion.

Main lines, by angle (15° ≤ 2θ ≤ 90°):
Position (°2θ), I_rel, h k l
21.0, 30, 1 1 0
23.0, 38, 2 0 -2
30.4, 30, 3 1 -1
30.8, 77, 1 1 -2
31.8, 47, 4 0 -2
35.9, 100, 3 1 0
37.0, 30, 4 0 -3
37.2, 56, 0 2 0
41.9, 27, 1 1 2
44.2, 29, 5 1 -2

Structural model:
```
data_Sr2Hg3Pt
_cell_length_a 11.3272
_cell_length_b 4.8285
_cell_length_c 7.7554
_cell_angle_alpha 90.00
_cell_angle_beta 129.24
_cell_angle_gamma 90.00
_space_group_name_H-M_alt 'C 1 m 1'
_space_group_IT_number 8
loop_
_space_group_symop_operation_xyz
'x,y,z'
'x,-y,z'
'x+1/2,y+1/2,z'
'x+1/2,-y+1/2,z'
loop_
_atom_site_label
_atom_site_fract_x
_atom_site_fract_y
_atom_site_fract_z
Sr1 0.0000 0.0000 0.0000
Sr2 0.1039 0.0000 0.6080
Hg1 0.2043 0.5000 0.9957
Hg2 0.2295 0.5000 0.4288
Hg3 0.3905 0.0000 0.2290
Pt1 0.3971 0.0000 0.6214
```

=====

(5)
Simulated X-ray powder pattern of Zn2In2O5 for Cu Ka, from DFT lattice parameters and positions (PBE).
Neutral-atom scattering factors, no anomalous dispersion.

Main lines, by angle (15° ≤ 2θ ≤ 90°):
Position (°2θ), I_rel, h k l
15.3, 27, 0 0 4
30.7, 100, 1 0 2
30.8, 69, 0 0 8
31.9, 90, 1 0 3
33.5, 39, 1 0 4
35.6, 36, 1 0 5
37.9, 42, 1 0 6
49.6, 43, 1 0 10
52.7, 65, 1 1 0
62.3, 65, 1 1 8

Structural model:
```
data_Zn2In2O5
_cell_length_a 3.4749
_cell_length_b 3.4749
_cell_length_c 23.2067
_cell_angle_alpha 90.00
_cell_angle_beta 90.00
_cell_angle_gamma 120.00
_space_group_name_H-M_alt 'P 63/m m c'
_space_group_IT_number 194
_space_group_name_Hall '-P 6c 2c'
loop_
_atom_site_label
_atom_site_fract_x
_atom_site_fract_y
_atom_site_fract_z
Zn1 0.3333 0.6667 0.1304
In1 0.0000 0.0000 0.0000
In2 0.3333 0.6667 0.7500
O1 0.3333 0.6667 0.0448
O2 0.3333 0.6667 0.2500
O3 0.3333 0.6667 0.6546
```

=====

(6)
Simulated X-ray powder pattern of Er3Cd8 for Cu Ka, from DFT lattice parameters and positions (PBE).
Neutral-atom scattering factors, no anomalous dispersion.

Main lines, by angle (15° ≤ 2θ ≤ 90°):
Position (°2θ), I_rel, h k l
26.8, 8, 1 0 7
33.9, 88, 0 1 11
36.4, 100, 1 1 0
38.0, 16, 1 0 13
50.6, 28, 2 0 11
59.1, 8, 1 0 22
63.9, 27, 1 2 11
65.5, 17, 3 0 0
77.3, 11, 2 2 0
87.1, 12, 3 1 11

Structural model:
```
data_Er3Cd8
_cell_length_a 4.9395
_cell_length_b 4.9395
_cell_length_c 36.9307
_cell_angle_alpha 90.00
_cell_angle_beta 90.00
_cell_angle_gamma 120.00
_space_group_name_H-M_alt 'R -3 m'
_space_group_IT_number 166
_space_group_name_Hall '-R 3 2"'
loop_
_atom_site_label
_atom_site_fract_x
_atom_site_fract_y
_atom_site_fract_z
Er1 0.0000 0.0000 0.0000
Er2 0.0000 0.0000 0.4527
Cd1 0.0000 0.0000 0.0836
Cd2 0.0000 0.0000 0.1635
Cd3 0.0000 0.0000 0.2774
Cd4 0.0000 0.0000 0.3658
```